Entry 1:
This entry pairs a crystal structure of Ba3Hg2Bi4Pb2 with its simulated powder X-ray diffraction pattern. Radiation: CuKα. Structure: DFT lattice parameters and positions (GGA-PBE).
Kinematic intensities with the Lorentz-polarization factor, no thermal factor.

Main lines, by intensity (2θ from 10° to 90°):
d [Å]	2θ (°)	I_rel	hkl
2.663	33.66	100	1 1 0
3.163	28.21	70	0 1 4
3.609	24.67	29	1 0 3
2.454	36.62	28	1 0 6
2.777	32.24	26	0 1 5
2.037	44.47	21	2 0 4

Cell and atoms:
a b c (Å): 5.3257 5.3257 17.3879
angles (deg): 90.00 90.00 120.00
Space group P-3m1 (No. 164)
Inequivalent atoms, fractional coordinates:
Ba  0.0000  0.0000  0.0000 (multiplicity 1)
Ba  0.0000  0.0000  0.2590 (multiplicity 2)
Hg  0.3333  0.6667  0.1566 (multiplicity 2)
Bi  0.3333  0.6667  0.3696 (multiplicity 2)
Bi  0.3333  0.6667  0.8735 (multiplicity 2)
Pb  0.3333  0.6667  0.5636 (multiplicity 2)

---

Entry 2:
This entry pairs a crystal structure of Ba2HgBi6Rh with its simulated powder X-ray diffraction pattern. Radiation: CuKα. Structure: DFT lattice parameters and positions (GGA-PBE).
Kinematic intensities with the Lorentz-polarization factor, no thermal factor.

Main lines, by intensity (2θ from 10° to 90°):
d [Å]	2θ (°)	I_rel	hkl
2.757	32.48	100	0 2 7
2.843	31.46	66	2 0 5
2.736	32.74	63	1 1 12
1.698	54.00	44	2 2 0
5.754	15.40	39	0 1 2
2.360	38.13	37	2 0 14

Cell and atoms:
a b c (Å): 6.7926 6.7926 55.3887
angles (deg): 90.00 90.00 120.00
Space group R-3m (No. 166, hexagonal axes)
Inequivalent atoms, fractional coordinates:
Ba  0.0000  0.0000  0.0981 (multiplicity 6)
Ba  0.0000  0.0000  0.3177 (multiplicity 6)
Hg  0.0000  0.0000  0.4227 (multiplicity 6)
Bi  0.0078  0.5039  0.7062 (multiplicity 18)
Bi  0.0199  0.5100  0.8654 (multiplicity 18)
Rh  0.0000  0.0000  0.0000 (multiplicity 3)
Rh  0.0000  0.0000  0.5000 (multiplicity 3)

---

Entry 3:
This entry pairs a crystal structure of Ba2Hg6BiSb with its simulated powder X-ray diffraction pattern. Radiation: CuKα. Structure: DFT lattice parameters and positions (GGA-PBE).
Kinematic intensities with the Lorentz-polarization factor, no thermal factor.

Main lines, by intensity (2θ from 10° to 90°):
d [Å]	2θ (°)	I_rel	hkl
2.734	32.76	100	1 2 3
2.462	36.50	80	0 4 0
2.303	39.11	78	2 2 2
2.495	36.00	70	2 2 0
3.579	24.88	56	1 2 1
2.606	34.41	47	2 0 2

Cell and atoms:
a b c (Å): 5.788 9.846 11.982
angles (deg): 90.00 90.00 90.00
Space group Pmmn (No. 59, origin choice 2)
Inequivalent atoms, fractional coordinates:
Ba  0.250  0.006  0.229 (multiplicity 4)
Hg  0.001  0.250  0.424 (multiplicity 4)
Hg  0.004  0.250  0.975 (multiplicity 4)
Hg  0.250  0.025  0.560 (multiplicity 4)
Bi  0.250  0.250  0.740 (multiplicity 2)
Sb  0.250  0.750  0.813 (multiplicity 2)